No. 1
The following is a theoretical X-ray diffraction stick pattern of YTiGe. It was derived from DFT lattice parameters and positions (GGA-PBE), using Cu Kα X-rays.
Peak positions follow from Bragg's law for the DFT cell and can differ from measured ones.

Structure:
```
12
Lattice="4.059 0.000 0.000 0.000 4.059 0.000 0.000 0.000 15.451" Properties=species:S:1:pos:R:3 pbc="T T T"
Y 0.000 0.000 2.691
Y 0.000 0.000 12.760
Y 2.029 2.029 5.034
Y 2.029 2.029 10.416
Ti 0.000 2.029 0.000
Ti 0.000 2.029 7.725
Ti 2.029 0.000 0.000
Ti 2.029 0.000 7.725
Ge 0.000 0.000 5.833
Ge 0.000 0.000 9.617
Ge 2.029 2.029 1.892
Ge 2.029 2.029 13.559
```

Main lines, in order of rising 2θ (15° ≤ 2θ ≤ 90°):
(hkl)  Position (°2θ)  d/Å  Rel. int.
1 1 0  31.16  2.870  57
1 1 2  33.30  2.690  65
0 0 6  34.84  2.575  24
1 0 5  36.55  2.459  75
1 1 4  39.10  2.304  100
2 0 0  44.65  2.029  66
1 0 9  58.36  1.581  27
2 1 5  59.02  1.565  36
2 1 9  76.36  1.247  24
3 1 4  78.54  1.218  24

---

No. 2
The following is a theoretical X-ray diffraction stick pattern of ZrTi2Ge. It was derived from DFT lattice parameters and positions (GGA-PBE), using Cu Kα X-rays.
Peak positions follow from Bragg's law for the DFT cell and can differ from measured ones.

Structure:
```
16
Lattice="3.865 0.000 0.000 0.000 19.354 0.000 0.000 0.000 3.870" Properties=species:S:1:pos:R:3 pbc="T T T"
Zr 0.000 3.788 0.967
Zr 0.000 15.566 2.902
Zr 1.932 5.889 2.902
Zr 1.932 13.465 0.967
Ti 0.000 1.073 2.902
Ti 0.000 8.629 2.902
Ti 0.000 10.726 0.967
Ti 0.000 18.282 0.967
Ti 1.932 1.048 0.967
Ti 1.932 8.604 0.967
Ti 1.932 10.750 2.902
Ti 1.932 18.306 2.902
Ge 0.000 6.616 0.967
Ge 0.000 12.738 2.902
Ge 1.932 3.061 2.902
Ge 1.932 16.293 0.967
```

Main lines, in order of rising 2θ (15° ≤ 2θ ≤ 90°):
(hkl)  Position (°2θ)  d/Å  Rel. int.
1 1 1  33.08  2.708  78
1 3 1  35.66  2.518  62
0 6 1  36.26  2.478  25
0 8 0  37.16  2.419  32
1 7 0  40.10  2.249  25
1 5 1  40.38  2.233  100
2 0 0  46.99  1.934  71
2 8 0  61.38  1.510  27
2 0 2  68.64  1.367  23
1 5 3  82.70  1.167  17

---

No. 3
The following is a theoretical X-ray diffraction stick pattern of ZrTiGe2. It was derived from DFT lattice parameters and positions (GGA-PBE), using Cu Kα X-rays.
Peak positions follow from Bragg's law for the DFT cell and can differ from measured ones.

Structure:
```
16
Lattice="7.920 0.000 0.000 0.000 6.918 0.000 0.000 0.000 5.574" Properties=species:S:1:pos:R:3 pbc="T T T"
Zr 0.991 0.623 1.394
Zr 0.991 2.836 4.181
Zr 6.929 4.082 1.394
Zr 6.929 6.295 4.181
Ti 2.970 3.969 1.394
Ti 2.970 6.409 4.181
Ti 4.950 0.510 1.394
Ti 4.950 2.950 4.181
Ge 1.112 5.189 0.000
Ge 1.112 5.189 2.787
Ge 3.092 1.730 0.000
Ge 3.092 1.730 2.787
Ge 4.828 5.189 0.000
Ge 4.828 5.189 2.787
Ge 6.808 1.730 0.000
Ge 6.808 1.730 2.787
```

Main lines, in order of rising 2θ (15° ≤ 2θ ≤ 90°):
(hkl)  Position (°2θ)  d/Å  Rel. int.
2 1 0  25.92  3.437  22
0 2 1  30.41  2.939  38
2 1 1  30.56  2.925  73
0 2 2  41.61  2.170  50
2 1 2  41.72  2.165  100
2 3 0  45.52  1.993  66
4 0 0  45.83  1.980  31
0 2 3  56.25  1.635  18
4 2 2  63.61  1.463  25
2 3 4  84.92  1.142  21